No. 1
Theoretical powder diffractogram of Pr3NbCl6O4 for copper Kα, from a DFT-relaxed cell (PBE, the Materials Project).
Kinematic intensities with the Lorentz-polarization factor, no thermal factor.

Peak list (6 most intense, 2θ from 5° to 70°, in order of rising 2θ)
2θ 7.89, I = 64; 2θ 20.96, I = 100; 2θ 27.41, I = 64; 2θ 30.75, I = 75; 2θ 36.62, I = 63; 2θ 36.74, I = 80

Structure:
Unit cell a=12.946 b=12.946 c=3.996 alpha=90.00 beta=90.00 gamma=120.00
Fractional coordinates of all 28 atoms:
Pr (0.114, 0.719, 0.250)
Pr (0.281, 0.395, 0.250)
Pr (0.395, 0.114, 0.750)
Pr (0.605, 0.886, 0.250)
Pr (0.719, 0.605, 0.750)
Pr (0.886, 0.281, 0.750)
Nb (0.333, 0.667, 0.750)
Nb (0.667, 0.333, 0.250)
Cl (0.070, 0.442, 0.250)
Cl (0.104, 0.248, 0.750)
Cl (0.144, 0.896, 0.750)
Cl (0.248, 0.144, 0.250)
Cl (0.372, 0.930, 0.250)
Cl (0.442, 0.372, 0.750)
Cl (0.558, 0.628, 0.250)
Cl (0.628, 0.070, 0.750)
Cl (0.752, 0.856, 0.750)
Cl (0.856, 0.104, 0.250)
Cl (0.896, 0.752, 0.250)
Cl (0.930, 0.558, 0.750)
O (0.200, 0.693, 0.750)
O (0.307, 0.507, 0.750)
O (0.333, 0.667, 0.250)
O (0.493, 0.800, 0.750)
O (0.507, 0.200, 0.250)
O (0.667, 0.333, 0.750)
O (0.693, 0.493, 0.250)
O (0.800, 0.307, 0.250)

No. 2
Theoretical powder diffractogram of LaAl10Fe2 for copper Kα, from a DFT-relaxed cell (PBE, the Materials Project).
Kinematic intensities with the Lorentz-polarization factor, no thermal factor.

Peak list (6 most intense, 2θ from 5° to 70°, in order of rising 2θ)
2θ 27.92, I = 38; 2θ 28.15, I = 33; 2θ 36.95, I = 36; 2θ 39.78, I = 31; 2θ 40.00, I = 100; 2θ 40.49, I = 90

Structure:
Unit cell a=6.822 b=6.822 c=9.064 alpha=90.00 beta=90.00 gamma=97.29
Fractional coordinates of all 26 atoms:
La (0.123, 0.877, 0.750)
La (0.877, 0.123, 0.250)
Al (0.134, 0.413, 0.750)
Al (0.162, 0.838, 0.099)
Al (0.162, 0.838, 0.401)
Al (0.222, 0.481, 0.250)
Al (0.230, 0.230, 0.000)
Al (0.230, 0.230, 0.500)
Al (0.376, 0.624, 0.547)
Al (0.376, 0.624, 0.953)
Al (0.413, 0.134, 0.250)
Al (0.481, 0.222, 0.750)
Al (0.519, 0.778, 0.250)
Al (0.587, 0.866, 0.750)
Al (0.624, 0.376, 0.047)
Al (0.624, 0.376, 0.453)
Al (0.770, 0.770, 0.000)
Al (0.770, 0.770, 0.500)
Al (0.778, 0.519, 0.750)
Al (0.838, 0.162, 0.599)
Al (0.838, 0.162, 0.901)
Al (0.866, 0.587, 0.250)
Fe (0.000, 0.500, 0.000)
Fe (0.000, 0.500, 0.500)
Fe (0.500, 0.000, 0.000)
Fe (0.500, 0.000, 0.500)

No. 3
Theoretical powder diffractogram of HoCo2 for copper Kα, from a DFT-relaxed cell (PBE, the Materials Project).
Kinematic intensities with the Lorentz-polarization factor, no thermal factor.

Peak list (6 most intense, 2θ from 5° to 70°, in order of rising 2θ)
2θ 21.49, I = 16; 2θ 35.45, I = 67; 2θ 41.83, I = 100; 2θ 43.78, I = 14; 2θ 63.64, I = 25; 2θ 68.01, I = 30

Structure:
Unit cell a=5.065 b=5.065 c=5.065 alpha=60.00 beta=60.00 gamma=60.00
Fractional coordinates of all 6 atoms:
Ho (0.125, 0.125, 0.125)
Ho (0.875, 0.875, 0.875)
Co (0.000, 0.500, 0.500)
Co (0.500, 0.000, 0.500)
Co (0.500, 0.500, 0.000)
Co (0.500, 0.500, 0.500)

No. 4
Theoretical powder diffractogram of Re3Ge7 for copper Kα, from a DFT-relaxed cell (PBE, the Materials Project).
Kinematic intensities with the Lorentz-polarization factor, no thermal factor.

Peak list (6 most intense, 2θ from 5° to 70°, in order of rising 2θ)
2θ 30.14, I = 51; 2θ 35.52, I = 100; 2θ 40.72, I = 53; 2θ 42.37, I = 65; 2θ 43.99, I = 83; 2θ 44.63, I = 60

Structure:
Unit cell a=4.852 b=4.852 c=22.158 alpha=90.00 beta=90.00 gamma=140.64
Fractional coordinates of all 20 atoms:
Re (0.019, 0.981, 0.750)
Re (0.427, 0.573, 0.059)
Re (0.427, 0.573, 0.441)
Re (0.573, 0.427, 0.559)
Re (0.573, 0.427, 0.941)
Re (0.981, 0.019, 0.250)
Ge (0.146, 0.854, 0.032)
Ge (0.146, 0.854, 0.468)
Ge (0.176, 0.824, 0.636)
Ge (0.176, 0.824, 0.864)
Ge (0.264, 0.736, 0.250)
Ge (0.441, 0.559, 0.662)
Ge (0.441, 0.559, 0.838)
Ge (0.559, 0.441, 0.162)
Ge (0.559, 0.441, 0.338)
Ge (0.736, 0.264, 0.750)
Ge (0.824, 0.176, 0.136)
Ge (0.824, 0.176, 0.364)
Ge (0.854, 0.146, 0.532)
Ge (0.854, 0.146, 0.968)